Simulated X-ray diffraction stick pattern of KLiHg14 for λ = 1.5418 Å (Cu Kα), from a DFT-relaxed cell (PBE, Alexandria).

Atomic structure:
```
data_KLiHg14
_chemical_formula_sum 'K2 Li2 Hg28'
_cell_length_a 9.4570
_cell_length_b 9.4570
_cell_length_c 11.7318
_cell_angle_alpha 110.81
_cell_angle_beta 110.81
_cell_angle_gamma 83.33
_symmetry_space_group_name_H-M 'P 1'
_symmetry_Int_Tables_number 1
loop_
_symmetry_equiv_pos_as_xyz
'x,y,z'
loop_
_atom_site_label
_atom_site_type_symbol
_atom_site_fract_x
_atom_site_fract_y
_atom_site_fract_z
K1 K 0.1969 0.8031 0.7500
K2 K 0.8031 0.1969 0.2500
Li1 Li 0.0000 0.5000 0.0000
Li2 Li 0.5000 0.0000 0.5000
Hg1 Hg 0.0209 0.1748 0.5739
Hg2 Hg 0.0887 0.1917 0.8748
Hg3 Hg 0.1151 0.4523 0.4257
Hg4 Hg 0.1396 0.4748 0.8102
Hg5 Hg 0.1748 0.0209 0.0739
Hg6 Hg 0.1917 0.0887 0.3748
Hg7 Hg 0.2201 0.3899 0.1848
Hg8 Hg 0.2533 0.7019 0.1037
Hg9 Hg 0.2981 0.7467 0.3963
Hg10 Hg 0.3899 0.2201 0.6848
Hg11 Hg 0.4381 0.5151 0.6084
Hg12 Hg 0.4523 0.1151 0.9257
Hg13 Hg 0.4748 0.1396 0.3102
Hg14 Hg 0.4849 0.5619 0.8916
Hg15 Hg 0.5151 0.4381 0.1084
Hg16 Hg 0.5252 0.8604 0.6898
Hg17 Hg 0.5477 0.8849 0.0743
Hg18 Hg 0.5619 0.4849 0.3916
Hg19 Hg 0.6101 0.7799 0.3152
Hg20 Hg 0.7019 0.2533 0.6037
Hg21 Hg 0.7467 0.2981 0.8963
Hg22 Hg 0.7799 0.6101 0.8152
Hg23 Hg 0.8083 0.9113 0.6252
Hg24 Hg 0.8252 0.9791 0.9261
Hg25 Hg 0.8604 0.5252 0.1898
Hg26 Hg 0.8849 0.5477 0.5743
Hg27 Hg 0.9113 0.8083 0.1252
Hg28 Hg 0.9791 0.8252 0.4261
```

Top 10 peaks for 2θ = 15–90°, in order of rising 2θ:
3.126 Å, 2θ = 28.6°, I 1000
2.945 Å, 2θ = 30.3°, I 467
2.892 Å, 2θ = 30.9°, I 645
2.835 Å, 2θ = 31.6°, I 595
2.820 Å, 2θ = 31.7°, I 877
2.805 Å, 2θ = 31.9°, I 331
2.439 Å, 2θ = 36.9°, I 589
2.321 Å, 2θ = 38.8°, I 674
2.309 Å, 2θ = 39.0°, I 305
1.466 Å, 2θ = 63.5°, I 304

=====

Simulated X-ray diffraction stick pattern of KLiHgSe2 for λ = 1.5418 Å (Cu Kα), from a DFT-relaxed cell (PBE, Alexandria).

Atomic structure:
```
data_KLiHgSe2
_chemical_formula_sum 'K2 Li2 Hg2 Se4'
_cell_length_a 7.2159
_cell_length_b 7.2159
_cell_length_c 9.5774
_cell_angle_alpha 98.87
_cell_angle_beta 98.87
_cell_angle_gamma 35.78
_symmetry_space_group_name_H-M 'P 1'
_symmetry_Int_Tables_number 1
loop_
_symmetry_equiv_pos_as_xyz
'x,y,z'
loop_
_atom_site_label
_atom_site_type_symbol
_atom_site_fract_x
_atom_site_fract_y
_atom_site_fract_z
K1 K 0.1614 0.1614 0.1758
K2 K 0.8386 0.8386 0.8242
Li1 Li 0.1721 0.1721 0.5664
Li2 Li 0.8279 0.8279 0.4336
Hg1 Hg 0.4503 0.4503 0.2984
Hg2 Hg 0.5497 0.5497 0.7016
Se1 Se 0.1341 0.1341 0.8270
Se2 Se 0.3648 0.3648 0.5693
Se3 Se 0.6352 0.6352 0.4307
Se4 Se 0.8659 0.8659 0.1730
```

Top 10 peaks for 2θ = 15–90°, in order of rising 2θ:
4.725 Å, 2θ = 18.8°, I 546
4.212 Å, 2θ = 21.1°, I 1000
3.923 Å, 2θ = 22.7°, I 483
3.164 Å, 2θ = 28.2°, I 348
3.052 Å, 2θ = 29.3°, I 553
2.586 Å, 2θ = 34.7°, I 729
2.501 Å, 2θ = 35.9°, I 582
2.217 Å, 2θ = 40.7°, I 398
2.178 Å, 2θ = 41.5°, I 563
1.793 Å, 2θ = 50.9°, I 565

=====

Simulated X-ray diffraction stick pattern of KMgHg14 for λ = 1.5418 Å (Cu Kα), from a DFT-relaxed cell (PBE, Alexandria).

Atomic structure:
```
data_KMgHg14
_chemical_formula_sum 'K2 Mg2 Hg28'
_cell_length_a 13.4484
_cell_length_b 13.4484
_cell_length_c 6.6128
_cell_angle_alpha 104.12
_cell_angle_beta 104.12
_cell_angle_gamma 118.82
_symmetry_space_group_name_H-M 'P 1'
_symmetry_Int_Tables_number 1
loop_
_symmetry_equiv_pos_as_xyz
'x,y,z'
loop_
_atom_site_label
_atom_site_type_symbol
_atom_site_fract_x
_atom_site_fract_y
_atom_site_fract_z
K1 K 0.1855 0.8145 0.7500
K2 K 0.8145 0.1855 0.2500
Mg1 Mg 0.5000 0.5000 0.0000
Mg2 Mg 0.5000 0.5000 0.5000
Hg1 Hg 0.0538 0.6828 0.1161
Hg2 Hg 0.0628 0.1957 0.6323
Hg3 Hg 0.0641 0.1953 0.1329
Hg4 Hg 0.1667 0.5597 0.8550
Hg5 Hg 0.1669 0.5613 0.3707
Hg6 Hg 0.1953 0.0641 0.6329
Hg7 Hg 0.1957 0.0628 0.1323
Hg8 Hg 0.2784 0.4320 0.6053
Hg9 Hg 0.2803 0.4357 0.1086
Hg10 Hg 0.3172 0.9462 0.3839
Hg11 Hg 0.4320 0.2784 0.1053
Hg12 Hg 0.4357 0.2803 0.6086
Hg13 Hg 0.4387 0.8331 0.1293
Hg14 Hg 0.4403 0.8333 0.6450
Hg15 Hg 0.5597 0.1667 0.3550
Hg16 Hg 0.5613 0.1669 0.8707
Hg17 Hg 0.5643 0.7197 0.3914
Hg18 Hg 0.5680 0.7216 0.8947
Hg19 Hg 0.6828 0.0538 0.6161
Hg20 Hg 0.7197 0.5643 0.8914
Hg21 Hg 0.7216 0.5680 0.3947
Hg22 Hg 0.8043 0.9372 0.8677
Hg23 Hg 0.8047 0.9359 0.3671
Hg24 Hg 0.8331 0.4387 0.6293
Hg25 Hg 0.8333 0.4403 0.1450
Hg26 Hg 0.9359 0.8047 0.8671
Hg27 Hg 0.9372 0.8043 0.3677
Hg28 Hg 0.9462 0.3172 0.8839
```

Top 10 peaks for 2θ = 15–90°, in order of rising 2θ:
3.158 Å, 2θ = 28.3°, I 259
3.003 Å, 2θ = 29.8°, I 1000
2.950 Å, 2θ = 30.3°, I 305
2.944 Å, 2θ = 30.4°, I 295
2.894 Å, 2θ = 30.9°, I 840
2.626 Å, 2θ = 34.1°, I 888
2.237 Å, 2θ = 40.3°, I 406
2.230 Å, 2θ = 40.5°, I 399
2.084 Å, 2θ = 43.4°, I 607
1.450 Å, 2θ = 64.2°, I 262

=====

Simulated X-ray diffraction stick pattern of KMg2Hg10 for λ = 1.5418 Å (Cu Kα), from a DFT-relaxed cell (PBE, Alexandria).

Atomic structure:
```
data_KMg2Hg10
_chemical_formula_sum 'K1 Mg2 Hg10'
_cell_length_a 10.5027
_cell_length_b 8.4451
_cell_length_c 7.6771
_cell_angle_alpha 81.15
_cell_angle_beta 52.61
_cell_angle_gamma 46.24
_symmetry_space_group_name_H-M 'P 1'
_symmetry_Int_Tables_number 1
loop_
_symmetry_equiv_pos_as_xyz
'x,y,z'
loop_
_atom_site_label
_atom_site_type_symbol
_atom_site_fract_x
_atom_site_fract_y
_atom_site_fract_z
K1 K 0.0000 0.0000 0.0000
Mg1 Mg 0.0000 0.5000 0.0000
Mg2 Mg 0.5000 0.0000 0.5000
Hg1 Hg 0.0000 0.0000 0.5000
Hg2 Hg 0.0089 0.3404 0.6596
Hg3 Hg 0.2705 0.4938 0.5062
Hg4 Hg 0.3404 0.0089 0.9911
Hg5 Hg 0.4938 0.2705 0.7295
Hg6 Hg 0.5000 0.5000 0.0000
Hg7 Hg 0.5062 0.7295 0.2705
Hg8 Hg 0.6596 0.9911 0.0089
Hg9 Hg 0.7295 0.5062 0.4938
Hg10 Hg 0.9911 0.6596 0.3404
```

Top 10 peaks for 2θ = 15–90°, in order of rising 2θ:
3.158 Å, 2θ = 28.3°, I 504
3.047 Å, 2θ = 29.3°, I 446
2.752 Å, 2θ = 32.5°, I 705
2.702 Å, 2θ = 33.2°, I 511
2.609 Å, 2θ = 34.4°, I 1000
2.526 Å, 2θ = 35.5°, I 463
2.458 Å, 2θ = 36.5°, I 775
2.405 Å, 2θ = 37.4°, I 516
2.344 Å, 2θ = 38.4°, I 806
1.579 Å, 2θ = 58.4°, I 457

=====

Simulated X-ray diffraction stick pattern of KMg4Hg8 for λ = 1.5418 Å (Cu Kα), from a DFT-relaxed cell (PBE, Alexandria).

Atomic structure:
```
data_KMg4Hg8
_chemical_formula_sum 'K1 Mg4 Hg8'
_cell_length_a 7.7909
_cell_length_b 7.7909
_cell_length_c 7.7909
_cell_angle_alpha 99.23
_cell_angle_beta 99.23
_cell_angle_gamma 132.78
_symmetry_space_group_name_H-M 'P 1'
_symmetry_Int_Tables_number 1
loop_
_symmetry_equiv_pos_as_xyz
'x,y,z'
loop_
_atom_site_label
_atom_site_type_symbol
_atom_site_fract_x
_atom_site_fract_y
_atom_site_fract_z
K1 K 0.0000 0.0000 0.0000
Mg1 Mg 0.0000 0.0000 0.5000
Mg2 Mg 0.0000 0.5000 0.0000
Mg3 Mg 0.5000 0.0000 0.0000
Mg4 Mg 0.5000 0.5000 0.5000
Hg1 Hg 0.0000 0.3354 0.3354
Hg2 Hg 0.0000 0.6646 0.6646
Hg3 Hg 0.2789 0.5000 0.7789
Hg4 Hg 0.3354 0.0000 0.3354
Hg5 Hg 0.5000 0.2789 0.7789
Hg6 Hg 0.5000 0.7211 0.2211
Hg7 Hg 0.6646 0.0000 0.6646
Hg8 Hg 0.7211 0.5000 0.2211
```

Top 10 peaks for 2θ = 15–90°, in order of rising 2θ:
3.569 Å, 2θ = 24.9°, I 825
3.120 Å, 2θ = 28.6°, I 725
2.962 Å, 2θ = 30.2°, I 452
2.555 Å, 2θ = 35.1°, I 1000
2.524 Å, 2θ = 35.6°, I 368
2.349 Å, 2θ = 38.3°, I 817
2.279 Å, 2θ = 39.5°, I 600
1.670 Å, 2θ = 55.0°, I 281
1.529 Å, 2θ = 60.6°, I 291
1.463 Å, 2θ = 63.6°, I 401

=====

Simulated X-ray diffraction stick pattern of KMgHg6 for λ = 1.5418 Å (Cu Kα), from a DFT-relaxed cell (PBE, Alexandria).

Atomic structure:
```
data_KMgHg6
_chemical_formula_sum 'K1 Mg1 Hg6'
_cell_length_a 7.6758
_cell_length_b 7.6758
_cell_length_c 5.1477
_cell_angle_alpha 109.26
_cell_angle_beta 109.26
_cell_angle_gamma 53.80
_symmetry_space_group_name_H-M 'P 1'
_symmetry_Int_Tables_number 1
loop_
_symmetry_equiv_pos_as_xyz
'x,y,z'
loop_
_atom_site_label
_atom_site_type_symbol
_atom_site_fract_x
_atom_site_fract_y
_atom_site_fract_z
K1 K 0.0000 0.0000 0.0000
Mg1 Mg 0.5000 0.5000 0.5000
Hg1 Hg 0.0553 0.6043 0.3329
Hg2 Hg 0.3772 0.3772 0.8812
Hg3 Hg 0.3957 0.9447 0.6671
Hg4 Hg 0.6043 0.0553 0.3329
Hg5 Hg 0.6228 0.6228 0.1188
Hg6 Hg 0.9447 0.3957 0.6671
```

Top 10 peaks for 2θ = 15–90°, in order of rising 2θ:
4.136 Å, 2θ = 21.5°, I 597
3.283 Å, 2θ = 27.2°, I 254
3.262 Å, 2θ = 27.3°, I 235
3.180 Å, 2θ = 28.1°, I 344
3.048 Å, 2θ = 29.3°, I 331
2.808 Å, 2θ = 31.9°, I 1000
2.574 Å, 2θ = 34.9°, I 709
2.386 Å, 2θ = 37.7°, I 877
2.378 Å, 2θ = 37.8°, I 802
2.276 Å, 2θ = 39.6°, I 310

=====

Simulated X-ray diffraction stick pattern of K2Mg3Hg2 for λ = 1.5418 Å (Cu Kα), from a DFT-relaxed cell (PBE, Alexandria).

Atomic structure:
```
data_K2Mg3Hg2
_chemical_formula_sum 'K2 Mg3 Hg2'
_cell_length_a 6.8714
_cell_length_b 6.8714
_cell_length_c 8.6422
_cell_angle_alpha 119.40
_cell_angle_beta 119.40
_cell_angle_gamma 40.30
_symmetry_space_group_name_H-M 'P 1'
_symmetry_Int_Tables_number 1
loop_
_symmetry_equiv_pos_as_xyz
'x,y,z'
loop_
_atom_site_label
_atom_site_type_symbol
_atom_site_fract_x
_atom_site_fract_y
_atom_site_fract_z
K1 K 0.1381 0.1381 0.2731
K2 K 0.8619 0.8619 0.7269
Mg1 Mg 0.3463 0.3463 0.0768
Mg2 Mg 0.5000 0.5000 0.5000
Mg3 Mg 0.6537 0.6537 0.9232
Hg1 Hg 0.1326 0.1326 0.7108
Hg2 Hg 0.8674 0.8674 0.2892
```

Top 10 peaks for 2θ = 15–90°, in order of rising 2θ:
4.348 Å, 2θ = 20.4°, I 858
4.138 Å, 2θ = 21.5°, I 809
3.683 Å, 2θ = 24.2°, I 577
3.120 Å, 2θ = 28.6°, I 487
2.945 Å, 2θ = 30.3°, I 1000
2.898 Å, 2θ = 30.8°, I 598
2.749 Å, 2θ = 32.6°, I 452
2.561 Å, 2θ = 35.0°, I 757
2.367 Å, 2θ = 38.0°, I 397
2.357 Å, 2θ = 38.2°, I 470

=====

Simulated X-ray diffraction stick pattern of K3Mg2Hg3 for λ = 1.5418 Å (Cu Kα), from a DFT-relaxed cell (PBE, Alexandria).

Atomic structure:
```
data_K3Mg2Hg3
_chemical_formula_sum 'K6 Mg4 Hg6'
_cell_length_a 7.0467
_cell_length_b 7.0467
_cell_length_c 16.6087
_cell_angle_alpha 90.00
_cell_angle_beta 90.00
_cell_angle_gamma 138.45
_symmetry_space_group_name_H-M 'P 1'
_symmetry_Int_Tables_number 1
loop_
_symmetry_equiv_pos_as_xyz
'x,y,z'
loop_
_atom_site_label
_atom_site_type_symbol
_atom_site_fract_x
_atom_site_fract_y
_atom_site_fract_z
K1 K 0.0709 0.9291 0.6156
K2 K 0.0709 0.9291 0.8844
K3 K 0.3776 0.6224 0.7500
K4 K 0.6224 0.3776 0.2500
K5 K 0.9291 0.0709 0.1156
K6 K 0.9291 0.0709 0.3844
Mg1 Mg 0.2195 0.7805 0.0792
Mg2 Mg 0.2195 0.7805 0.4208
Mg3 Mg 0.7805 0.2195 0.5792
Mg4 Mg 0.7805 0.2195 0.9208
Hg1 Hg 0.3116 0.6884 0.2500
Hg2 Hg 0.3879 0.6121 0.5378
Hg3 Hg 0.3879 0.6121 0.9622
Hg4 Hg 0.6121 0.3879 0.0378
Hg5 Hg 0.6121 0.3879 0.4622
Hg6 Hg 0.6884 0.3116 0.7500
```

Top 10 peaks for 2θ = 15–90°, in order of rising 2θ:
4.674 Å, 2θ = 19.0°, I 968
4.239 Å, 2θ = 21.0°, I 758
3.571 Å, 2θ = 24.9°, I 908
3.298 Å, 2θ = 27.0°, I 1000
3.236 Å, 2θ = 27.6°, I 650
3.104 Å, 2θ = 28.8°, I 906
2.583 Å, 2θ = 34.7°, I 592
2.499 Å, 2θ = 35.9°, I 585
2.340 Å, 2θ = 38.5°, I 760
2.245 Å, 2θ = 40.2°, I 832

=====

Simulated X-ray diffraction stick pattern of K3Mg4Hg4 for λ = 1.5418 Å (Cu Kα), from a DFT-relaxed cell (PBE, Alexandria).

Atomic structure:
```
data_K3Mg4Hg4
_chemical_formula_sum 'K3 Mg4 Hg4'
_cell_length_a 7.7440
_cell_length_b 7.7440
_cell_length_c 7.7440
_cell_angle_alpha 109.47
_cell_angle_beta 109.47
_cell_angle_gamma 109.47
_symmetry_space_group_name_H-M 'P 1'
_symmetry_Int_Tables_number 1
loop_
_symmetry_equiv_pos_as_xyz
'x,y,z'
loop_
_atom_site_label
_atom_site_type_symbol
_atom_site_fract_x
_atom_site_fract_y
_atom_site_fract_z
K1 K 0.0000 0.5000 0.5000
K2 K 0.5000 0.0000 0.5000
K3 K 0.5000 0.5000 0.0000
Mg1 Mg 0.0000 0.0000 0.7439
Mg2 Mg 0.0000 0.7439 0.0000
Mg3 Mg 0.2561 0.2561 0.2561
Mg4 Mg 0.7439 0.0000 0.0000
Hg1 Hg 0.0000 0.0000 0.3814
Hg2 Hg 0.0000 0.3814 0.0000
Hg3 Hg 0.3814 0.0000 0.0000
Hg4 Hg 0.6186 0.6186 0.6186
```

Top 10 peaks for 2θ = 15–90°, in order of rising 2θ:
4.471 Å, 2θ = 19.9°, I 458
3.651 Å, 2θ = 24.4°, I 1000
3.161 Å, 2θ = 28.2°, I 582
2.828 Å, 2θ = 31.6°, I 356
2.390 Å, 2θ = 37.6°, I 344
2.108 Å, 2θ = 42.9°, I 866
1.906 Å, 2θ = 47.7°, I 246
1.534 Å, 2θ = 60.4°, I 221
1.451 Å, 2θ = 64.2°, I 314
1.217 Å, 2θ = 78.6°, I 210

=====

Simulated X-ray diffraction stick pattern of KMg5Hg2 for λ = 1.5418 Å (Cu Kα), from a DFT-relaxed cell (PBE, Alexandria).

Atomic structure:
```
data_KMg5Hg2
_chemical_formula_sum 'K1 Mg5 Hg2'
_cell_length_a 7.3636
_cell_length_b 7.3636
_cell_length_c 7.3636
_cell_angle_alpha 143.96
_cell_angle_beta 109.02
_cell_angle_gamma 82.27
_symmetry_space_group_name_H-M 'P 1'
_symmetry_Int_Tables_number 1
loop_
_symmetry_equiv_pos_as_xyz
'x,y,z'
loop_
_atom_site_label
_atom_site_type_symbol
_atom_site_fract_x
_atom_site_fract_y
_atom_site_fract_z
K1 K 0.0000 0.0000 0.0000
Mg1 Mg 0.1601 0.3447 0.8154
Mg2 Mg 0.4707 0.6553 0.8154
Mg3 Mg 0.5000 0.0000 0.5000
Mg4 Mg 0.5293 0.3447 0.1846
Mg5 Mg 0.8399 0.6553 0.1846
Hg1 Hg 0.2448 0.7448 0.5000
Hg2 Hg 0.7552 0.2552 0.5000
```

Top 10 peaks for 2θ = 15–90°, in order of rising 2θ:
5.546 Å, 2θ = 16.0°, I 741
4.275 Å, 2θ = 20.8°, I 476
4.021 Å, 2θ = 22.1°, I 609
3.386 Å, 2θ = 26.3°, I 320
3.255 Å, 2θ = 27.4°, I 1000
2.416 Å, 2θ = 37.2°, I 332
2.326 Å, 2θ = 38.7°, I 336
2.281 Å, 2θ = 39.5°, I 607
2.215 Å, 2θ = 40.7°, I 449
1.628 Å, 2θ = 56.5°, I 222

=====

Simulated X-ray diffraction stick pattern of K2NaMgHg2 for λ = 1.5418 Å (Cu Kα), from a DFT-relaxed cell (PBE, Alexandria).

Atomic structure:
```
data_K2NaMgHg2
_chemical_formula_sum 'K4 Na2 Mg2 Hg4'
_cell_length_a 9.8248
_cell_length_b 9.8248
_cell_length_c 9.8248
_cell_angle_alpha 138.09
_cell_angle_beta 61.32
_cell_angle_gamma 137.36
_symmetry_space_group_name_H-M 'P 1'
_symmetry_Int_Tables_number 1
loop_
_symmetry_equiv_pos_as_xyz
'x,y,z'
loop_
_atom_site_label
_atom_site_type_symbol
_atom_site_fract_x
_atom_site_fract_y
_atom_site_fract_z
K1 K 0.1769 0.2345 0.4114
K2 K 0.3231 0.7345 0.0576
K3 K 0.6769 0.2655 0.9424
K4 K 0.8231 0.7655 0.5886
Na1 Na 0.2500 0.2500 0.0000
Na2 Na 0.7500 0.7500 0.0000
Mg1 Mg 0.2500 0.7500 0.5000
Mg2 Mg 0.7500 0.2500 0.5000
Hg1 Hg 0.1045 0.7197 0.8242
Hg2 Hg 0.3955 0.2197 0.6152
Hg3 Hg 0.6045 0.7803 0.3848
Hg4 Hg 0.8955 0.2803 0.1758
```

Top 10 peaks for 2θ = 15–90°, in order of rising 2θ:
4.309 Å, 2θ = 20.6°, I 1000
4.226 Å, 2θ = 21.0°, I 250
3.572 Å, 2θ = 24.9°, I 311
3.513 Å, 2θ = 25.3°, I 258
3.230 Å, 2θ = 27.6°, I 388
2.728 Å, 2θ = 32.8°, I 294
2.702 Å, 2θ = 33.2°, I 253
2.505 Å, 2θ = 35.9°, I 331
2.455 Å, 2θ = 36.6°, I 242
2.154 Å, 2θ = 42.0°, I 271

=====

Simulated X-ray diffraction stick pattern of K2MgSnHg6 for λ = 1.5418 Å (Cu Kα), from a DFT-relaxed cell (PBE, Alexandria).

Atomic structure:
```
data_K2MgSnHg6
_chemical_formula_sum 'K2 Mg1 Sn1 Hg6'
_cell_length_a 6.3288
_cell_length_b 7.7275
_cell_length_c 7.8995
_cell_angle_alpha 85.31
_cell_angle_beta 67.61
_cell_angle_gamma 66.74
_symmetry_space_group_name_H-M 'P 1'
_symmetry_Int_Tables_number 1
loop_
_symmetry_equiv_pos_as_xyz
'x,y,z'
loop_
_atom_site_label
_atom_site_type_symbol
_atom_site_fract_x
_atom_site_fract_y
_atom_site_fract_z
K1 K 0.0427 0.2282 0.2039
K2 K 0.9573 0.7718 0.7961
Mg1 Mg 0.5000 0.0000 0.5000
Sn1 Sn 0.5000 0.5000 0.0000
Hg1 Hg 0.0110 0.2418 0.7349
Hg2 Hg 0.3861 0.3900 0.3989
Hg3 Hg 0.4889 0.7827 0.2403
Hg4 Hg 0.5111 0.2173 0.7597
Hg5 Hg 0.6139 0.6100 0.6011
Hg6 Hg 0.9890 0.7582 0.2651
```

Top 10 peaks for 2θ = 15–90°, in order of rising 2θ:
5.292 Å, 2θ = 16.8°, I 427
4.881 Å, 2θ = 18.2°, I 764
3.641 Å, 2θ = 24.4°, I 509
3.538 Å, 2θ = 25.2°, I 322
2.715 Å, 2θ = 33.0°, I 1000
2.688 Å, 2θ = 33.3°, I 466
2.646 Å, 2θ = 33.9°, I 734
2.361 Å, 2θ = 38.1°, I 405
2.240 Å, 2θ = 40.3°, I 376
2.193 Å, 2θ = 41.2°, I 328